[1]
Calculated powder diffraction line list of LiCe2Ru for Cu Kα, from a PBE-relaxed structure.
Neutral-atom scattering factors, no anomalous dispersion.

Atomic structure:
```
data_LiCe2Ru
_chemical_formula_sum 'Li4 Ce8 Ru4'
_cell_length_a 7.021
_cell_length_b 7.021
_cell_length_c 7.021
_cell_angle_alpha 90.00
_cell_angle_beta 90.00
_cell_angle_gamma 90.00
_symmetry_space_group_name_H-M 'F m -3 m'
_symmetry_Int_Tables_number 225
_symmetry_space_group_name_Hall '-F 4 2 3'
loop_
_atom_site_label
_atom_site_type_symbol
_atom_site_fract_x
_atom_site_fract_y
_atom_site_fract_z
Li1 Li 0.000 0.000 0.000
Ce1 Ce 0.250 0.250 0.250
Ru1 Ru 0.000 0.000 0.500
```

Main lines, in order of rising 2θ (10° ≤ 2θ ≤ 80°):
2theta  I/Imax  (hkl)
21.9  16  1 1 1
25.4  24  2 0 0
36.2  100  2 2 0
42.7  8  3 1 1
44.7  7  2 2 2
52.1  17  4 0 0
57.2  3  3 3 1
58.8  10  4 2 0
65.1  36  4 2 2
76.8  11  4 4 0


[2]
Calculated powder diffraction line list of LaUN2 for Cu Kα, from a PBE-relaxed structure.
Neutral-atom scattering factors, no anomalous dispersion.

Atomic structure:
```
data_LaUN2
_chemical_formula_sum 'La3 U3 N6'
_cell_length_a 3.5508
_cell_length_b 3.5508
_cell_length_c 17.6825
_cell_angle_alpha 90.00
_cell_angle_beta 90.00
_cell_angle_gamma 120.00
_symmetry_space_group_name_H-M 'R -3 m'
_symmetry_Int_Tables_number 166
_symmetry_space_group_name_Hall '-R 3 2"'
loop_
_atom_site_label
_atom_site_type_symbol
_atom_site_fract_x
_atom_site_fract_y
_atom_site_fract_z
La1 La 0.0000 0.0000 0.0000
U1 U 0.0000 0.0000 0.5000
N1 N 0.0000 0.0000 0.2320
```

Main lines, in order of rising 2θ (10° ≤ 2θ ≤ 80°):
2theta  I/Imax  (hkl)
15.0  15  0 0 3
30.3  36  0 0 6
30.8  100  0 1 2
35.6  91  1 0 4
50.9  32  0 1 8
51.5  32  1 1 0
60.4  18  1 0 10
60.9  32  1 1 6
61.2  15  2 0 2
64.1  16  0 2 4


[3]
Calculated powder diffraction line list of Cu2O3 for Cu Kα, from a PBE-relaxed structure.
Neutral-atom scattering factors, no anomalous dispersion.

Atomic structure:
```
data_Cu2O3
_chemical_formula_sum 'Cu16 O24'
_cell_length_a 9.728
_cell_length_b 11.920
_cell_length_c 3.609
_cell_angle_alpha 90.00
_cell_angle_beta 90.00
_cell_angle_gamma 90.00
_symmetry_space_group_name_H-M 'F d d 2'
_symmetry_Int_Tables_number 43
_symmetry_space_group_name_Hall 'F 2 -2d'
loop_
_atom_site_label
_atom_site_type_symbol
_atom_site_fract_x
_atom_site_fract_y
_atom_site_fract_z
Cu1 Cu 0.115 0.297 0.000
O1 O 0.000 0.000 0.433
O2 O 0.016 0.169 0.877
```

Main lines, in order of rising 2θ (10° ≤ 2θ ≤ 80°):
2theta  I/Imax  (hkl)
27.4  100  1 1 1
35.3  73  2 4 0
38.1  52  3 1 1
43.9  50  3 3 1
46.6  24  1 5 1
58.7  21  5 3 1
65.5  20  6 4 0
66.4  20  4 2 2
67.3  17  5 5 1
73.5  25  2 6 2


Copy entry 3 word for word.
Calculated powder diffraction line list of Cu2O3 for Cu Kα, from a PBE-relaxed structure.
Neutral-atom scattering factors, no anomalous dispersion.

Atomic structure:
```
data_Cu2O3
_chemical_formula_sum 'Cu16 O24'
_cell_length_a 9.728
_cell_length_b 11.920
_cell_length_c 3.609
_cell_angle_alpha 90.00
_cell_angle_beta 90.00
_cell_angle_gamma 90.00
_symmetry_space_group_name_H-M 'F d d 2'
_symmetry_Int_Tables_number 43
_symmetry_space_group_name_Hall 'F 2 -2d'
loop_
_atom_site_label
_atom_site_type_symbol
_atom_site_fract_x
_atom_site_fract_y
_atom_site_fract_z
Cu1 Cu 0.115 0.297 0.000
O1 O 0.000 0.000 0.433
O2 O 0.016 0.169 0.877
```

Main lines, in order of rising 2θ (10° ≤ 2θ ≤ 80°):
2theta  I/Imax  (hkl)
27.4  100  1 1 1
35.3  73  2 4 0
38.1  52  3 1 1
43.9  50  3 3 1
46.6  24  1 5 1
58.7  21  5 3 1
65.5  20  6 4 0
66.4  20  4 2 2
67.3  17  5 5 1
73.5  25  2 6 2